Entry 1:
For Dy5UAs6, the PBE geometry in Alexandria gives the theoretical PXRD pattern in this record (a wavelength of 1.5418 Å).
Neutral-atom scattering factors, no anomalous dispersion.

Most intense lines, 2θ from 15° to 90°, by intensity:
| two_theta | Rel. int. |
| --- | --- |
| 30.79 | 100.0 |
| 44.10 | 74.7 |
| 72.82 | 33.9 |
| 26.58 | 27.0 |
| 54.74 | 26.3 |
| 81.11 | 25.6 |
| 52.23 | 13.5 |
| 64.13 | 12.3 |
| 70.69 | 4.8 |
| 87.19 | 2.9 |

Structure:
```
12
Lattice="3.5565 -6.1638 0.0000 3.5565 6.1638 0.0000 -2.3715 0.0000 6.7053" Properties=species:S:1:pos:R:3 pbc="T T T"
Dy 0.0000 0.0000 0.0000
Dy 2.3707 4.1134 3.3527
Dy 3.5565 2.0740 0.0000
Dy 3.5565 -2.0740 0.0000
Dy 2.3707 -4.1134 3.3527
U 2.3707 0.0000 3.3527
As 1.2025 2.0253 1.6908
As 0.0377 0.0000 5.0084
As 1.2025 -2.0253 1.6908
As 3.5389 2.0253 5.0145
As 4.7037 0.0000 1.6969
As 3.5389 -2.0253 5.0145
```



Entry 2:
For Mg2TaPb2, the PBE geometry in Alexandria gives the theoretical PXRD pattern in this record (a wavelength of 1.5418 Å).
Neutral-atom scattering factors, no anomalous dispersion.

Most intense lines, 2θ from 15° to 90°, by intensity:
| two_theta | Rel. int. |
| --- | --- |
| 35.07 | 100.0 |
| 33.12 | 76.1 |
| 25.20 | 68.5 |
| 35.93 | 65.4 |
| 28.89 | 44.3 |
| 55.18 | 36.7 |
| 53.84 | 28.4 |
| 62.34 | 26.9 |
| 32.03 | 23.7 |
| 47.43 | 18.6 |

Structure:
```
10
Lattice="7.9031 0.0000 0.0000 0.0000 7.9031 0.0000 0.0000 0.0000 3.7094" Properties=species:S:1:pos:R:3 pbc="T T T"
Mg 1.0561 2.8955 0.0000
Mg 2.8955 6.8471 0.0000
Mg 5.0077 1.0561 0.0000
Mg 6.8471 5.0077 0.0000
Ta 0.0000 0.0000 0.0000
Ta 3.9516 3.9516 0.0000
Pb 1.3419 5.2934 1.8547
Pb 2.6097 1.3419 1.8547
Pb 5.2934 6.5613 1.8547
Pb 6.5613 2.6097 1.8547
```



Entry 3:
For BeNb2B2Ir5, the PBE geometry in Alexandria gives the theoretical PXRD pattern in this record (a wavelength of 1.5418 Å).
Neutral-atom scattering factors, no anomalous dispersion.

Most intense lines, 2θ from 15° to 90°, by intensity:
| two_theta | Rel. int. |
| --- | --- |
| 39.29 | 100.0 |
| 43.93 | 83.0 |
| 38.10 | 62.9 |
| 31.44 | 58.1 |
| 29.89 | 48.1 |
| 40.48 | 46.8 |
| 47.13 | 43.4 |
| 41.68 | 32.9 |
| 79.14 | 27.3 |
| 34.20 | 27.2 |

Structure:
```
20
Lattice="9.4544 0.0000 0.0000 0.0000 9.4544 0.0000 0.0000 0.0000 2.8458" Properties=species:S:1:pos:R:3 pbc="T T T"
Be 0.0000 0.0000 0.0000
Be 4.7272 4.7272 0.0000
Nb 1.7446 2.9826 0.0000
Nb 2.9826 7.7098 0.0000
Nb 6.4718 1.7446 0.0000
Nb 7.7098 6.4718 0.0000
B 1.2285 5.9557 0.0000
B 3.4987 1.2285 0.0000
B 5.9557 8.2259 0.0000
B 8.2259 3.4987 0.0000
Ir 0.0000 4.7272 1.4229
Ir 0.5179 7.5092 1.4229
Ir 1.9452 0.5179 1.4229
Ir 2.7820 5.2451 1.4229
Ir 4.2094 2.7820 1.4229
Ir 4.7272 0.0000 1.4229
Ir 5.2451 6.6724 1.4229
Ir 6.6724 4.2094 1.4229
Ir 7.5092 8.9366 1.4229
Ir 8.9366 1.9452 1.4229
```